# 1
This entry pairs a crystal structure of Dy13Mg7Co4 with its computed XRD peak list. Radiation: a wavelength of 1.5418 Å. Structure: a structure optimized by DFT (PBE).
Lines closer than 0.1° are merged.

Largest 8 diffraction maxima, sorted by position, 10 to 90 degrees two-theta:
Position (°2θ)  Rel. int.
11.43  59
28.96  56
32.66  55
34.72  100
37.97  21
56.03  19
58.27  41
58.41  22

Structural model:
```
data_Dy13Mg7Co4
_chemical_formula_sum 'Dy13 Mg7 Co4'
_symmetry_space_group_name_H-M 'P 1'
_symmetry_Int_Tables_number 1
_symmetry_space_group_name_Hall 'P 1'
_cell_length_a 9.4798
_cell_length_b 9.4798
_cell_length_c 9.4798
_cell_angle_alpha 60.18
_cell_angle_beta 60.18
_cell_angle_gamma 60.18
loop_
_atom_site_label
_atom_site_type_symbol
_atom_site_fract_x
_atom_site_fract_y
_atom_site_fract_z
Dy1 Dy 0.0000 0.0000 0.0000
Dy2 Dy 0.2156 0.2156 0.5973
Dy3 Dy 0.2156 0.5973 0.2156
Dy4 Dy 0.4636 0.4636 0.8429
Dy5 Dy 0.4636 0.8429 0.4636
Dy6 Dy 0.4664 0.8443 0.8443
Dy7 Dy 0.5973 0.2156 0.2156
Dy8 Dy 0.6238 0.9958 0.9958
Dy9 Dy 0.8429 0.4636 0.4636
Dy10 Dy 0.8443 0.4664 0.8443
Dy11 Dy 0.8443 0.8443 0.4664
Dy12 Dy 0.9958 0.6238 0.9958
Dy13 Dy 0.9958 0.9958 0.6238
Mg1 Mg 0.2136 0.5913 0.5913
Mg2 Mg 0.2345 0.2345 0.2345
Mg3 Mg 0.2383 0.2383 0.9109
Mg4 Mg 0.2383 0.9109 0.2383
Mg5 Mg 0.5913 0.2136 0.5913
Mg6 Mg 0.5913 0.5913 0.2136
Mg7 Mg 0.9109 0.2383 0.2383
Co1 Co 0.2387 0.7969 0.7969
Co2 Co 0.7943 0.7943 0.7943
Co3 Co 0.7969 0.2387 0.7969
Co4 Co 0.7969 0.7969 0.2387
```


# 2
This entry pairs a crystal structure of Ag2Os with its computed XRD peak list. Radiation: a wavelength of 1.5418 Å. Structure: a structure optimized by DFT (PBE).
Lines closer than 0.1° are merged.

Largest 8 diffraction maxima, sorted by position, 10 to 90 degrees two-theta:
Position (°2θ)  Rel. int.
12.07  18
36.77  39
39.49  100
45.14  69
63.89  23
67.57  19
76.05  14
79.48  24

Structural model:
```
data_Ag2Os
_chemical_formula_sum 'Ag2 Os1'
_symmetry_space_group_name_H-M 'P 1'
_symmetry_Int_Tables_number 1
_symmetry_space_group_name_Hall 'P 1'
_cell_length_a 2.7725
_cell_length_b 2.7725
_cell_length_c 7.3326
_cell_angle_alpha 90.00
_cell_angle_beta 90.00
_cell_angle_gamma 120.00
loop_
_atom_site_label
_atom_site_type_symbol
_atom_site_fract_x
_atom_site_fract_y
_atom_site_fract_z
Ag1 Ag 0.3333 0.6667 0.1694
Ag2 Ag 0.6667 0.3333 0.8306
Os1 Os 0.0000 0.0000 0.5000
```


# 3
This entry pairs a crystal structure of TiNiMo3 with its computed XRD peak list. Radiation: a wavelength of 1.5418 Å. Structure: a structure optimized by DFT (PBE).
Lines closer than 0.1° are merged.

Largest 8 diffraction maxima, sorted by position, 10 to 90 degrees two-theta:
Position (°2θ)  Rel. int.
19.80  51
34.65  94
40.22  100
45.22  23
58.20  64
62.10  11
69.53  35
73.11  21

Structural model:
```
data_TiNiMo3
_chemical_formula_sum 'Ti1 Ni1 Mo3'
_symmetry_space_group_name_H-M 'P 1'
_symmetry_Int_Tables_number 1
_symmetry_space_group_name_Hall 'P 1'
_cell_length_a 4.4839
_cell_length_b 4.4839
_cell_length_c 4.4839
_cell_angle_alpha 90.00
_cell_angle_beta 90.00
_cell_angle_gamma 90.00
loop_
_atom_site_label
_atom_site_type_symbol
_atom_site_fract_x
_atom_site_fract_y
_atom_site_fract_z
Ti1 Ti 0.0000 0.0000 0.0000
Ni1 Ni 0.5000 0.5000 0.5000
Mo1 Mo 0.0000 0.5000 0.5000
Mo2 Mo 0.5000 0.0000 0.5000
Mo3 Mo 0.5000 0.5000 0.0000
```


# 4
This entry pairs a crystal structure of PrHo5Er8 with its computed XRD peak list. Radiation: a wavelength of 1.5418 Å. Structure: a structure optimized by DFT (PBE).
Lines closer than 0.1° are merged.

Largest 8 diffraction maxima, sorted by position, 10 to 90 degrees two-theta:
Position (°2θ)  Rel. int.
28.03  53
29.77  65
29.98  70
32.14  22
33.98  100
34.91  42
35.46  51
63.22  20

Structural model:
```
data_PrHo5Er8
_chemical_formula_sum 'Pr1 Ho5 Er8'
_symmetry_space_group_name_H-M 'P 1'
_symmetry_Int_Tables_number 1
_symmetry_space_group_name_Hall 'P 1'
_cell_length_a 8.3762
_cell_length_b 8.3762
_cell_length_c 8.3762
_cell_angle_alpha 111.52
_cell_angle_beta 111.52
_cell_angle_gamma 105.45
loop_
_atom_site_label
_atom_site_type_symbol
_atom_site_fract_x
_atom_site_fract_y
_atom_site_fract_z
Pr1 Pr 0.0000 0.0000 0.0000
Ho1 Ho 0.0338 0.2096 0.5960
Ho2 Ho 0.2500 0.7500 0.5000
Ho3 Ho 0.5622 0.9662 0.1758
Ho4 Ho 0.6136 0.4378 0.4040
Ho5 Ho 0.7904 0.3864 0.8242
Er1 Er 0.0908 0.6731 0.7594
Er2 Er 0.2804 0.5288 0.1056
Er3 Er 0.3269 0.0863 0.4177
Er4 Er 0.4232 0.1748 0.8944
Er5 Er 0.4712 0.5768 0.7516
Er6 Er 0.6686 0.9092 0.5823
Er7 Er 0.8252 0.7196 0.2484
Er8 Er 0.9137 0.3314 0.2406
```